NaSO4: theoretical PXRD pattern (a wavelength of 1.5418 Å), based on the GGA-PBE geometry in Alexandria.
Intensities are scaled so that the largest is 100.

Most intense lines, 2θ from 10° to 80°, by angle:
hkl 1 0 1, 4.003 Å, 2θ = 22.21°, I 55; hkl 1 1 0, 3.573 Å, 2θ = 24.92°, I 100; hkl 0 0 2, 3.279 Å, 2θ = 27.20°, I 22; hkl 1 1 2, 2.416 Å, 2θ = 37.22°, I 70; hkl 2 0 2, 2.001 Å, 2θ = 45.31°, I 22; hkl 2 2 2, 1.570 Å, 2θ = 58.83°, I 20

Atomic structure:
```
data_NaSO4
_space_group_name_H-M_alt 'I -4 2 m'
_space_group_IT_number 121
_space_group_name_Hall 'I -4 2'
_cell_length_a 5.053
_cell_length_b 5.053
_cell_length_c 6.557
_cell_angle_alpha 90.00
_cell_angle_beta 90.00
_cell_angle_gamma 90.00
loop_
_atom_site_label
_atom_site_type_symbol
_atom_site_fract_x
_atom_site_fract_y
_atom_site_fract_z
_atom_site_occupancy
Na1 Na 0.000 0.000 0.000 1
S1 S 0.000 0.000 0.500 1
O1 O 0.171 0.171 0.372 1
```

***

Na5B6C4: theoretical PXRD pattern (a wavelength of 1.5418 Å), based on the GGA-PBE geometry in Alexandria.
Intensities are scaled so that the largest is 100.

Most intense lines, 2θ from 10° to 80°, by angle:
hkl 3 1 1, 2.465 Å, 2θ = 36.45°, I 18; hkl 10 0 0, 2.153 Å, 2θ = 41.96°, I 51; hkl 7 1 -1, 2.131 Å, 2θ = 42.42°, I 100; hkl 8 0 -4, 2.119 Å, 2θ = 42.67°, I 39; hkl 9 1 3, 1.436 Å, 2θ = 64.92°, I 17; hkl 15 1 -5, 1.226 Å, 2θ = 77.95°, I 12

Atomic structure:
```
data_Na5B6C4
_space_group_name_H-M_alt 'C 1 2/m 1'
_space_group_IT_number 12
_cell_length_a 22.640
_cell_length_b 2.833
_cell_length_c 9.840
_cell_angle_alpha 90.00
_cell_angle_beta 107.97
_cell_angle_gamma 90.00
loop_
_space_group_symop_operation_xyz
'x,y,z'
'-x,-y,-z'
'-x,y,-z'
'x,-y,z'
'x+1/2,y+1/2,z'
'-x+1/2,-y+1/2,-z'
'-x+1/2,y+1/2,-z'
'x+1/2,-y+1/2,z'
loop_
_atom_site_label
_atom_site_type_symbol
_atom_site_fract_x
_atom_site_fract_y
_atom_site_fract_z
_atom_site_occupancy
Na1 Na 0.000 0.000 0.000 1
Na2 Na 0.000 0.500 0.500 1
Na3 Na 0.099 0.000 0.699 1
Na4 Na 0.101 0.500 0.199 1
Na5 Na 0.199 0.500 0.901 1
Na6 Na 0.200 0.000 0.400 1
B1 B 0.019 0.000 0.289 1
B2 B 0.077 0.500 0.904 1
B3 B 0.116 0.500 0.482 1
B4 B 0.118 0.000 0.985 1
B5 B 0.189 0.000 0.128 1
B6 B 0.213 0.000 0.676 1
C1 C 0.013 0.500 0.775 1
C2 C 0.085 0.000 0.419 1
C3 C 0.182 0.500 0.612 1
C4 C 0.221 0.500 0.191 1
```